Theoretical X-ray powder pattern of TiFe3Sb2P6O24 for CuKα, from a crystal structure in the Materials Project, relaxed with PBE+U.

Most intense lines, 10 to 80 degrees two-theta, in order of falling intensity:
2θ/deg, d/Å, intensity
20.3, 4.372, 100
31.8, 2.810, 93
23.7, 3.756, 65
35.6, 2.524, 40
48.5, 1.878, 34
24.9, 3.580, 26
55.6, 1.652, 26
61.6, 1.507, 25
45.7, 1.983, 24
14.2, 6.238, 21
32.3, 2.770, 18
43.5, 2.079, 16

```
data_TiFe3Sb2P6O24
_chemical_formula_sum 'Ti3 Fe9 Sb6 P18 O72'
_cell_length_a 8.7438
_cell_length_b 8.7438
_cell_length_c 22.0091
_cell_angle_alpha 90.00
_cell_angle_beta 90.00
_cell_angle_gamma 120.00
_space_group_name_H-M_alt 'R 3'
_space_group_IT_number 146
_space_group_name_Hall 'R 3'
loop_
_atom_site_label
_atom_site_type_symbol
_atom_site_fract_x
_atom_site_fract_y
_atom_site_fract_z
Ti1 Ti 0.0000 0.0000 0.0000
Fe1 Fe 0.0000 0.0000 0.2067
Fe2 Fe 0.0000 0.0000 0.5038
Fe3 Fe 0.0000 0.0000 0.6988
Sb1 Sb 0.0000 0.0000 0.3539
Sb2 Sb 0.0000 0.0000 0.8407
P1 P 0.0003 0.7034 0.6055
P2 P 0.0472 0.3781 0.7721
O1 O 0.0143 0.7962 0.5461
O2 O 0.0164 0.8362 0.2742
O3 O 0.0239 0.1839 0.7726
O4 O 0.1403 0.4654 0.8313
O5 O 0.1404 0.6761 0.3297
O6 O 0.1548 0.4760 0.7154
O7 O 0.1620 0.4727 0.0994
O8 O 0.1636 0.6748 0.6098
```

=====

Theoretical X-ray powder pattern of Ba2NaMnO6 for CuKα, from a crystal structure in the Materials Project, relaxed with PBE+U.

Most intense lines, 10 to 80 degrees two-theta, in order of falling intensity:
2θ/deg, d/Å, intensity
30.2, 2.957, 100
53.7, 1.707, 38
43.3, 2.091, 35
37.2, 2.414, 30
21.2, 4.181, 25
62.9, 1.478, 21
71.3, 1.322, 18
48.7, 1.870, 13
75.4, 1.261, 9
67.2, 1.394, 7
79.4, 1.207, 7
18.4, 4.828, 5

```
data_Ba2NaMnO6
_chemical_formula_sum 'Ba8 Na4 Mn4 O24'
_cell_length_a 8.363
_cell_length_b 8.363
_cell_length_c 8.363
_cell_angle_alpha 90.00
_cell_angle_beta 90.00
_cell_angle_gamma 90.00
_space_group_name_H-M_alt 'F m -3 m'
_space_group_IT_number 225
_space_group_name_Hall '-F 4 2 3'
loop_
_atom_site_label
_atom_site_type_symbol
_atom_site_fract_x
_atom_site_fract_y
_atom_site_fract_z
Ba1 Ba 0.250 0.250 0.250
Na1 Na 0.000 0.000 0.000
Mn1 Mn 0.000 0.000 0.500
O1 O 0.000 0.000 0.272
```

=====

Theoretical X-ray powder pattern of Li2MnP4O12 for CuKα, from a crystal structure in the Materials Project, relaxed with PBE+U.

Most intense lines, 10 to 80 degrees two-theta, in order of falling intensity:
2θ/deg, d/Å, intensity
24.8, 3.591, 100
11.4, 7.756, 50
17.4, 5.089, 40
32.9, 2.721, 28
24.1, 3.692, 18
17.2, 5.149, 17
31.2, 2.870, 14
40.4, 2.230, 14
15.7, 5.652, 11
27.8, 3.206, 11
31.6, 2.832, 10
20.9, 4.249, 10

```
data_Li2MnP4O12
_chemical_formula_sum 'Li8 Mn4 P16 O48'
_cell_length_a 9.287
_cell_length_b 14.363
_cell_length_c 7.443
_cell_angle_alpha 90.00
_cell_angle_beta 97.14
_cell_angle_gamma 90.00
_space_group_name_H-M_alt 'C 1 2/c 1'
_space_group_IT_number 15
_space_group_name_Hall '-C 2yc'
loop_
_atom_site_label
_atom_site_type_symbol
_atom_site_fract_x
_atom_site_fract_y
_atom_site_fract_z
Li1 Li 0.160 0.148 0.203
Mn1 Mn 0.000 0.364 0.750
P1 P 0.107 0.161 0.619
P2 P 0.139 0.427 0.169
O1 O 0.000 0.115 0.750
O2 O 0.000 0.383 0.250
O3 O 0.043 0.144 0.426
O4 O 0.128 0.469 0.650
O5 O 0.149 0.258 0.680
O6 O 0.167 0.369 0.008
O7 O 0.240 0.091 0.659
```

=====

Theoretical X-ray powder pattern of MgTl4V2O7 for CuKα, from a crystal structure in the Materials Project, relaxed with PBE+U.

Most intense lines, 10 to 80 degrees two-theta, in order of falling intensity:
2θ/deg, d/Å, intensity
26.7, 3.342, 100
29.1, 3.072, 85
39.9, 2.262, 43
50.1, 1.821, 35
51.5, 1.774, 17
16.7, 5.321, 17
43.2, 2.094, 16
67.1, 1.396, 16
60.2, 1.536, 13
45.6, 1.991, 11
56.3, 1.635, 10
72.3, 1.306, 10

```
data_MgTl4V2O7
_chemical_formula_sum 'Mg1 Tl4 V2 O7'
_cell_length_a 6.1445
_cell_length_b 6.1445
_cell_length_c 8.5883
_cell_angle_alpha 90.00
_cell_angle_beta 90.00
_cell_angle_gamma 120.00
_space_group_name_H-M_alt 'P -3 m 1'
_space_group_IT_number 164
_space_group_name_Hall '-P 3 2"'
loop_
_atom_site_label
_atom_site_type_symbol
_atom_site_fract_x
_atom_site_fract_y
_atom_site_fract_z
Mg1 Mg 0.0000 0.0000 0.0000
Tl1 Tl 0.3333 0.6667 0.0782
Tl2 Tl 0.3333 0.6667 0.6371
V1 V 0.0000 0.0000 0.2875
O1 O 0.0000 0.0000 0.5000
O2 O 0.1474 0.2947 0.8210
```